For Li7Bi4Pb, a cell relaxed with GGA-PBE gives the computed powder diffractogram in this record (Cu Kα).
Intensities are scaled so that the largest is 100.

Most intense lines, 10 to 90 degrees two-theta, by angle:
two_theta  intensity
20.06  18
23.85  100
24.97  15
28.39  49
31.24  36
33.79  17
34.21  25
47.00  24

Crystal structure
a = 6.591 Å, b = 6.591 Å, c = 10.702 Å
α = 121.04°, β = 121.04°, γ = 46.87°
Fractional positions:
Li1 0.000 0.000 0.000
Li2 0.194 0.194 0.911
Li3 0.220 0.220 0.651
Li4 0.394 0.394 0.540
Li5 0.606 0.606 0.460
Li6 0.780 0.780 0.349
Li7 0.806 0.806 0.089
Bi1 0.091 0.091 0.309
Bi2 0.313 0.313 0.228
Bi3 0.687 0.687 0.772
Bi4 0.909 0.909 0.691
Pb1 0.500 0.500 0.000